The following is a simulated powder diffractogram of MnPd3. It was derived from a cell relaxed with PBE, using Cu Kα X-rays.
Lines closer than 0.1° are merged.

Crystal structure
```
MnPd3
1.0
1.423 0.822 8.773
-1.423 0.822 8.773
0.000 -1.643 8.773
Mn Pd
1 3
Direct
0.000 0.000 0.000 Mn
0.255 0.255 0.255 Pd
0.500 0.500 0.500 Pd
0.745 0.745 0.745 Pd
```

Most intense lines, 2θ = 10–90°, by angle:
- d 2.924, 2θ 30.57, I 6
- d 2.308, 2θ 39.02, I 100
- d 2.193, 2θ 41.16, I 26
- d 1.973, 2θ 46.01, I 60
- d 1.423, 2θ 65.60, I 21
- d 1.368, 2θ 68.59, I 16
- d 1.211, 2θ 79.05, I 12
- d 1.194, 2θ 80.45, I 21
- d 1.161, 2θ 83.22, I 8
- d 1.154, 2θ 83.82, I 10